Cs2Pt3O8: theoretical PXRD pattern (copper Kα), based on DFT lattice parameters and positions (GGA-PBE).
Intensities are scaled so that the largest is 100.

Structural model:
Cell: 14.296 6.361 5.412 Å, 90.00 108.14 90.00°
Space group C2/m (No. 12)
Symmetry-distinct sites (fractional):
Cs 0.226 0.000 0.186 [4 per cell]
Pt 0.000 0.245 0.500 [4 per cell]
Pt 0.000 0.500 0.000 [2 per cell]
O 0.074 0.500 0.396 [4 per cell]
O 0.076 0.280 0.878 [8 per cell]
O 0.080 0.000 0.451 [4 per cell]

Largest 10 diffraction maxima, low angle first, 2θ = 10–80°:
13.03 deg, I = 100.0, hkl 2 0 0; 24.70 deg, I = 70.9, hkl 1 1 1; 25.91 deg, I = 53.4, hkl 3 1 -1; 26.24 deg, I = 65.3, hkl 4 0 0; 31.05 deg, I = 29.8, hkl 2 2 0; 33.15 deg, I = 77.3, hkl 2 0 -2; 33.59 deg, I = 38.4, hkl 2 2 -1; 39.02 deg, I = 32.7, hkl 4 2 -1; 46.20 deg, I = 30.5, hkl 4 2 1; 47.99 deg, I = 30.9, hkl 6 2 -1

=====

Y2HfAs3: theoretical PXRD pattern (copper Kα), based on DFT lattice parameters and positions (GGA-PBE).
Intensities are scaled so that the largest is 100.

Structural model:
Cell: 4.022 4.022 16.981 Å, 90.00 90.00 90.00°
Space group I4/mmm (No. 139)
Symmetry-distinct sites (fractional):
Y 0.000 0.000 0.167 [4 per cell]
Hf 0.000 0.000 0.500 [2 per cell]
As 0.000 0.000 0.000 [2 per cell]
As 0.000 0.000 0.339 [4 per cell]

Largest 10 diffraction maxima, low angle first, 2θ = 10–80°:
10.42 deg, I = 14.9, hkl 0 0 2; 27.20 deg, I = 13.1, hkl 1 0 3; 31.46 deg, I = 100.0, hkl 1 1 0; 31.61 deg, I = 48.7, hkl 0 0 6; 45.08 deg, I = 36.6, hkl 2 0 0; 45.20 deg, I = 71.7, hkl 1 1 6; 56.10 deg, I = 37.5, hkl 2 0 6; 65.66 deg, I = 11.7, hkl 2 2 0; 74.66 deg, I = 32.0, hkl 3 1 0; 74.96 deg, I = 15.1, hkl 1 1 12

=====

Tb7Sm12Al: theoretical PXRD pattern (copper Kα), based on DFT lattice parameters and positions (GGA-PBE).
Intensities are scaled so that the largest is 100.

Structural model:
Cell: 14.9112 14.9112 10.1972 Å, 90.00 90.00 120.00°
Space group R-3 (No. 148, hexagonal axes)
Symmetry-distinct sites (fractional):
Tb 0.0000 0.0000 0.0000 [3 per cell]
Tb 0.0649 0.8301 0.4268 [18 per cell]
Sm 0.0422 0.8529 0.7505 [18 per cell]
Sm 0.0452 0.7922 0.0723 [18 per cell]
Al 0.0000 0.0000 0.5000 [3 per cell]

Largest 10 diffraction maxima, low angle first, 2θ = 10–80°:
28.87 deg, I = 45.6, hkl 1 1 3; 29.01 deg, I = 16.8, hkl 4 0 1; 30.50 deg, I = 24.8, hkl 3 1 2; 31.45 deg, I = 13.0, hkl 5 -2 1; 31.75 deg, I = 100.0, hkl 4 1 0; 33.60 deg, I = 55.0, hkl 0 3 3; 35.75 deg, I = 41.9, hkl 2 2 3; 50.24 deg, I = 15.8, hkl 3 5 1; 51.75 deg, I = 23.3, hkl 7 -2 3; 63.97 deg, I = 19.1, hkl 5 -4 6

=====

YPuHg5: theoretical PXRD pattern (copper Kα), based on DFT lattice parameters and positions (GGA-PBE).
Intensities are scaled so that the largest is 100.

Structural model:
Cell: 4.371 4.754 9.123 Å, 90.00 90.00 90.00°
Space group Pmmm (No. 47)
Symmetry-distinct sites (fractional):
Y 0.000 0.000 0.000 [1 per cell]
Pu 0.500 0.500 0.500 [1 per cell]
Hg 0.000 0.500 0.248 [2 per cell]
Hg 0.500 0.000 0.264 [2 per cell]
Hg 0.500 0.500 0.000 [1 per cell]

Largest 10 diffraction maxima, low angle first, 2θ = 10–80°:
34.10 deg, I = 100.0, hkl 1 1 2; 37.85 deg, I = 19.1, hkl 0 2 0; 39.51 deg, I = 16.3, hkl 0 0 4; 41.31 deg, I = 15.0, hkl 2 0 0; 55.87 deg, I = 12.1, hkl 0 2 4; 57.27 deg, I = 11.7, hkl 2 2 0; 65.97 deg, I = 15.2, hkl 1 3 2; 68.22 deg, I = 13.6, hkl 1 1 6; 70.72 deg, I = 12.5, hkl 3 1 2; 71.81 deg, I = 11.6, hkl 2 2 4